Theoretical powder diffraction line list
Compound: Sm2MnCoO6
Radiation: CuKα
Structure: a GGA+U-relaxed structure

```
20
Lattice="5.3880 0.0000 0.0000 0.0000 5.6473 0.0000 -5.3765 0.0000 7.7069" Properties=species:S:1:pos:R:3 pbc="T T T"
Sm -0.0858 0.3681 1.9229
Sm -2.7740 2.4555 5.7764
Sm 2.7855 3.1918 1.9305
Sm 0.0973 5.2792 5.7840
Mn 2.6940 0.0000 0.0000
Mn 0.0058 2.8237 3.8535
Co -2.6883 0.0000 3.8535
Co 0.0000 2.8237 0.0000
O -4.2567 1.0936 7.3372
O -1.5685 1.7301 3.4837
O -3.7050 4.0162 7.3145
O -1.0167 4.4548 3.4610
O -2.1699 0.1535 5.8335
O 0.5184 2.6702 1.9800
O -0.5069 2.9772 5.7269
O 2.1814 5.4938 1.8734
O 1.0282 1.1925 4.2459
O 3.7165 1.6312 0.3925
O 1.5800 3.9173 4.2232
O 4.2682 4.5537 0.3697
```

Principal peaks in the range 2θ from 15° to 90°, by angle:
| index | 2theta | I/Imax |
| --- | --- | --- |
| 1 1 -1 | 22.81 | 16 |
| 1 1 0 | 25.61 | 20 |
| 0 2 0 | 31.69 | 19 |
| 1 1 -3 | 32.68 | 100 |
| 2 0 -2 | 33.26 | 25 |
| 0 2 1 | 33.81 | 14 |
| 2 2 -2 | 46.60 | 19 |
| 0 0 4 | 47.17 | 15 |
| 1 3 0 | 52.87 | 17 |
| 3 1 -1 | 59.06 | 22 |